1.
Theoretical PXRD pattern of MnCdHN for CuKα, from a crystal structure in Alexandria, relaxed with PBE.
Kinematic intensities with the Lorentz-polarization factor, no thermal factor.

Principal peaks in the range 15 to 90 degrees two-theta, in order of rising 2θ:
index  d (Å)  Position (°2θ)  I_rel
0 0 2  3.575  24.9  61
1 1 0  2.553  35.2  36
2 0 -1  2.409  37.3  73
1 1 1  2.401  37.5  100
0 0 3  2.384  37.7  34
1 1 -2  2.081  43.5  45
2 0 2  2.073  43.7  36
3 1 0  1.474  63.1  27
1 1 4  1.462  63.7  19
4 0 1  1.257  75.7  22

a b c (Å): 5.110 2.946 7.151
angles (deg): 90.00 90.39 90.00
Fractional coordinates of all 8 atoms:
Mn  0.000  0.000  0.000
Mn  0.500  0.500  0.000
Cd  0.171  0.500  0.348
Cd  0.671  0.000  0.348
H  0.330  0.000  0.735
H  0.830  0.500  0.735
N  0.332  0.000  0.880
N  0.832  0.500  0.880

2.
Theoretical PXRD pattern of RbS5N for CuKα, from a crystal structure in Alexandria, relaxed with PBE.
Kinematic intensities with the Lorentz-polarization factor, no thermal factor.

Principal peaks in the range 15 to 90 degrees two-theta, in order of rising 2θ:
index  d (Å)  Position (°2θ)  I_rel
1 1 1  4.072  21.8  100
2 0 -1  3.914  22.7  69
0 2 1  3.160  28.2  23
3 1 0  3.033  29.5  25
2 2 0  3.006  29.7  51
1 1 -2  2.650  33.8  26
2 0 2  2.418  37.2  21
4 2 -1  1.993  45.5  21
0 0 3  1.924  47.2  15
3 3 1  1.866  48.8  16

a b c (Å): 9.963 7.550 5.790
angles (deg): 90.00 94.32 90.00
Fractional coordinates of all 14 atoms:
Rb  0.000  0.000  0.000
Rb  0.500  0.500  0.000
S  0.194  0.315  0.360
S  0.194  0.685  0.360
S  0.263  0.217  0.687
S  0.263  0.783  0.687
S  0.391  0.000  0.656
S  0.694  0.185  0.360
S  0.694  0.815  0.360
S  0.763  0.283  0.687
S  0.763  0.717  0.687
S  0.891  0.500  0.656
N  0.278  0.500  0.294
N  0.778  0.000  0.294